This entry pairs a crystal structure of LiFePO4 with its calculated powder X-ray diffraction pattern. Radiation: Cu Kα. Structure: a structure optimized by DFT (PBE+U).
Neutral-atom scattering factors, no anomalous dispersion.

The 8 most intense peaks (15 to 90 degrees two-theta), most intense first:
23.10°, intensity 100, (2 0 0); 20.40°, intensity 89, (0 1 2); 19.21°, intensity 66, (0 0 4); 29.42°, intensity 54, (2 1 0); 36.19°, intensity 37, (3 0 -2); 36.43°, intensity 36, (1 1 6); 15.07°, intensity 34, (1 0 2); 34.32°, intensity 30, (0 1 6)

Cell and atoms:
```
data_LiFePO4
_chemical_formula_sum 'Li8 Fe8 P8 O32'
_cell_length_a 7.702
_cell_length_b 4.935
_cell_length_c 18.479
_cell_angle_alpha 90.00
_cell_angle_beta 90.75
_cell_angle_gamma 90.00
_space_group_name_H-M_alt 'P 1'
_space_group_IT_number 1
_space_group_name_Hall 'P 1'
loop_
_atom_site_label
_atom_site_type_symbol
_atom_site_fract_x
_atom_site_fract_y
_atom_site_fract_z
_atom_site_occupancy
Li1 Li 0.011 0.147 0.186 1
Li2 Li 0.011 0.353 0.686 1
Li3 Li 0.484 0.226 0.086 1
Li4 Li 0.484 0.274 0.586 1
Li5 Li 0.516 0.726 0.414 1
Li6 Li 0.516 0.774 0.914 1
Li7 Li 0.989 0.647 0.314 1
Li8 Li 0.989 0.853 0.814 1
Fe1 Fe 0.157 0.725 0.517 1
Fe2 Fe 0.157 0.775 0.017 1
Fe3 Fe 0.334 0.220 0.273 1
Fe4 Fe 0.334 0.280 0.773 1
Fe5 Fe 0.666 0.720 0.227 1
Fe6 Fe 0.666 0.780 0.727 1
Fe7 Fe 0.843 0.225 0.983 1
Fe8 Fe 0.843 0.275 0.483 1
P1 P 0.250 0.218 0.936 1
P2 P 0.250 0.282 0.436 1
P3 P 0.255 0.649 0.182 1
P4 P 0.255 0.851 0.682 1
P5 P 0.745 0.149 0.318 1
P6 P 0.745 0.351 0.818 1
P7 P 0.750 0.718 0.564 1
P8 P 0.750 0.782 0.064 1
O1 O 0.061 0.098 0.929 1
O2 O 0.061 0.402 0.429 1
O3 O 0.113 0.002 0.727 1
O4 O 0.113 0.498 0.227 1
O5 O 0.242 0.540 0.694 1
O6 O 0.242 0.960 0.194 1
O7 O 0.247 0.566 0.102 1
O8 O 0.247 0.934 0.602 1
O9 O 0.253 0.533 0.935 1
O10 O 0.253 0.967 0.435 1
O11 O 0.326 0.103 0.008 1
O12 O 0.326 0.397 0.508 1
O13 O 0.354 0.103 0.872 1
O14 O 0.354 0.397 0.372 1
O15 O 0.431 0.532 0.212 1
O16 O 0.431 0.968 0.712 1
O17 O 0.569 0.032 0.288 1
O18 O 0.569 0.468 0.788 1
O19 O 0.646 0.603 0.628 1
O20 O 0.646 0.897 0.128 1
O21 O 0.674 0.603 0.492 1
O22 O 0.674 0.897 0.992 1
O23 O 0.747 0.033 0.565 1
O24 O 0.747 0.467 0.065 1
O25 O 0.753 0.066 0.398 1
O26 O 0.753 0.434 0.898 1
O27 O 0.758 0.040 0.806 1
O28 O 0.758 0.460 0.306 1
O29 O 0.887 0.502 0.773 1
O30 O 0.887 0.998 0.273 1
O31 O 0.939 0.598 0.571 1
O32 O 0.939 0.902 0.071 1
```